Structure and theoretical X-ray powder pattern of Na4CoMo3O12 (a DFT-relaxed cell (PBE+U, the Materials Project); Cu Ka).
Peak positions follow from Bragg's law for the DFT cell and can differ from measured ones.

```
data_Na4CoMo3O12
_chemical_formula_sum 'Na16 Co4 Mo12 O48'
_symmetry_space_group_name_H-M 'C 1 2 1'
_symmetry_Int_Tables_number 5
_symmetry_space_group_name_Hall 'C 2y'
_cell_length_a 12.8042
_cell_length_b 13.7682
_cell_length_c 7.2801
_cell_angle_alpha 90.00
_cell_angle_beta 112.45
_cell_angle_gamma 90.00
loop_
_atom_site_label
_atom_site_type_symbol
_atom_site_fract_x
_atom_site_fract_y
_atom_site_fract_z
Na1 Na 0.0000 0.0000 0.0000
Na2 Na 0.0000 0.0204 0.5000
Na3 Na 0.0000 0.2751 0.0000
Na4 Na 0.0000 0.7450 0.5000
Na5 Na 0.0006 0.5122 0.7497
Na6 Na 0.2133 0.1678 0.8741
Co1 Co 0.2157 0.8466 0.3750
Mo1 Mo 0.0000 0.2963 0.5000
Mo2 Mo 0.0000 0.7302 0.0000
Mo3 Mo 0.2310 0.9008 0.8709
Mo4 Mo 0.2335 0.1180 0.3750
O1 O 0.0304 0.2208 0.7130
O2 O 0.0517 0.8047 0.2269
O3 O 0.0978 0.6474 0.9696
O4 O 0.1151 0.3783 0.5170
O5 O 0.1211 0.5964 0.5740
O6 O 0.1229 0.4293 0.0612
O7 O 0.1456 0.0084 0.8345
O8 O 0.1594 0.0022 0.3583
O9 O 0.1654 0.1776 0.1425
O10 O 0.1771 0.8368 0.6354
O11 O 0.2161 0.8353 0.0746
O12 O 0.2263 0.1953 0.5716
```

Most intense lines, 10 to 90 degrees two-theta, sorted by position:
2θ 18.63, d 4.762, I = 37
2θ 20.36, d 4.361, I = 32
2θ 23.04, d 3.860, I = 53
2θ 25.44, d 3.501, I = 62
2θ 28.27, d 3.157, I = 36
2θ 30.03, d 2.975, I = 100
2θ 30.21, d 2.958, I = 42
2θ 31.48, d 2.842, I = 37

---

Structure and theoretical X-ray powder pattern of Li3Mn4O8 (a DFT-relaxed cell (PBE+U, the Materials Project); Cu Ka).
Peak positions follow from Bragg's law for the DFT cell and can differ from measured ones.

```
data_Li3Mn4O8
_chemical_formula_sum 'Li3 Mn4 O8'
_symmetry_space_group_name_H-M 'P -1'
_symmetry_Int_Tables_number 2
_symmetry_space_group_name_Hall '-P 1'
_cell_length_a 5.7798
_cell_length_b 5.8121
_cell_length_c 6.0546
_cell_angle_alpha 118.47
_cell_angle_beta 118.10
_cell_angle_gamma 90.29
loop_
_atom_site_label
_atom_site_type_symbol
_atom_site_fract_x
_atom_site_fract_y
_atom_site_fract_z
Li1 Li 0.0000 0.0000 0.0000
Li2 Li 0.0000 0.5000 0.0000
Li3 Li 0.5000 0.0000 0.5000
Mn1 Mn 0.0000 0.5000 0.5000
Mn2 Mn 0.5000 0.0000 0.0000
Mn3 Mn 0.5000 0.5000 0.0000
Mn4 Mn 0.5000 0.5000 0.5000
O1 O 0.2527 0.2742 0.4945
O2 O 0.2526 0.7204 0.4949
O3 O 0.2814 0.7564 0.0116
O4 O 0.2970 0.2813 0.0619
```

Most intense lines, 10 to 90 degrees two-theta, sorted by position:
2θ 18.20, d 4.875, I = 100
2θ 18.30, d 4.847, I = 18
2θ 33.70, d 2.660, I = 17
2θ 36.11, d 2.488, I = 13
2θ 40.22, d 2.242, I = 34
2θ 44.08, d 2.054, I = 25
2θ 44.32, d 2.044, I = 25
2θ 61.25, d 1.513, I = 15

---

Structure and theoretical X-ray powder pattern of LiV6O7F5 (a DFT-relaxed cell (PBE+U, the Materials Project); Cu Ka).
Peak positions follow from Bragg's law for the DFT cell and can differ from measured ones.

```
data_LiV6O7F5
_chemical_formula_sum 'Li1 V6 O7 F5'
_symmetry_space_group_name_H-M 'P 1'
_symmetry_Int_Tables_number 1
_symmetry_space_group_name_Hall 'P 1'
_cell_length_a 4.8972
_cell_length_b 5.6718
_cell_length_c 7.8364
_cell_angle_alpha 84.69
_cell_angle_beta 88.27
_cell_angle_gamma 87.12
loop_
_atom_site_label
_atom_site_type_symbol
_atom_site_fract_x
_atom_site_fract_y
_atom_site_fract_z
Li1 Li 0.0000 0.0000 0.0000
V1 V 0.0260 0.9504 0.5659
V2 V 0.0603 0.3139 0.2364
V3 V 0.4900 0.4208 0.5677
V4 V 0.4962 0.7660 0.2354
V5 V 0.4980 0.1097 0.8746
V6 V 0.9422 0.5659 0.8916
O1 O 0.1879 0.2933 0.9872
O2 O 0.1892 0.9850 0.3231
O3 O 0.3074 0.1341 0.6517
O4 O 0.3250 0.4892 0.3394
O5 O 0.6807 0.4004 0.7851
O6 O 0.8104 0.5757 0.1353
O7 O 0.8200 0.9042 0.7994
F1 F 0.1887 0.6285 0.6679
F2 F 0.3100 0.8008 0.9923
F3 F 0.6819 0.0709 0.1203
F4 F 0.6977 0.7404 0.4726
F5 F 0.8166 0.2487 0.4613
```

Most intense lines, 10 to 90 degrees two-theta, sorted by position:
2θ 25.31, d 3.519, I = 100
2θ 26.80, d 3.327, I = 100
2θ 34.50, d 2.600, I = 48
2θ 34.79, d 2.578, I = 23
2θ 50.57, d 1.805, I = 23
2θ 51.98, d 1.759, I = 28
2θ 52.46, d 1.744, I = 30
2θ 60.09, d 1.540, I = 21

---

Structure and theoretical X-ray powder pattern of MgV2PbO2F8 (a DFT-relaxed cell (PBE+U, the Materials Project); Cu Ka).
Peak positions follow from Bragg's law for the DFT cell and can differ from measured ones.

```
data_MgV2PbO2F8
_chemical_formula_sum 'Mg1 V2 Pb1 O2 F8'
_symmetry_space_group_name_H-M 'P 1'
_symmetry_Int_Tables_number 1
_symmetry_space_group_name_Hall 'P 1'
_cell_length_a 5.1622
_cell_length_b 5.8185
_cell_length_c 7.2319
_cell_angle_alpha 104.46
_cell_angle_beta 105.59
_cell_angle_gamma 90.64
loop_
_atom_site_label
_atom_site_type_symbol
_atom_site_fract_x
_atom_site_fract_y
_atom_site_fract_z
Mg1 Mg 0.0000 0.0000 0.0000
V1 V 0.6426 0.2312 0.3397
V2 V 0.8944 0.5120 0.8228
Pb1 Pb 0.2603 0.8174 0.5270
O1 O 0.7361 0.1768 0.1317
O2 O 0.8925 0.6340 0.0539
F1 F 0.0842 0.2307 0.8627
F2 F 0.2075 0.7446 0.8588
F3 F 0.2902 0.0437 0.2531
F4 F 0.4290 0.4992 0.3301
F5 F 0.5758 0.3072 0.6504
F6 F 0.7098 0.7987 0.7523
F7 F 0.7954 0.9725 0.4389
F8 F 0.9531 0.4502 0.5272
```

Most intense lines, 10 to 90 degrees two-theta, sorted by position:
2θ 13.17, d 6.722, I = 100
2θ 15.78, d 5.614, I = 36
2θ 22.92, d 3.880, I = 66
2θ 23.15, d 3.842, I = 50
2θ 23.52, d 3.783, I = 63
2θ 25.14, d 3.542, I = 51
2θ 38.10, d 2.362, I = 35
2θ 39.18, d 2.299, I = 54

---

Structure and theoretical X-ray powder pattern of Na4MoO5 (a DFT-relaxed cell (PBE+U, the Materials Project); Cu Ka).
Peak positions follow from Bragg's law for the DFT cell and can differ from measured ones.

```
data_Na4MoO5
_chemical_formula_sum 'Na16 Mo4 O20'
_symmetry_space_group_name_H-M 'P -1'
_symmetry_Int_Tables_number 2
_symmetry_space_group_name_Hall '-P 1'
_cell_length_a 5.7289
_cell_length_b 10.1254
_cell_length_c 10.1565
_cell_angle_alpha 113.34
_cell_angle_beta 96.54
_cell_angle_gamma 96.30
loop_
_atom_site_label
_atom_site_type_symbol
_atom_site_fract_x
_atom_site_fract_y
_atom_site_fract_z
Na1 Na 0.0000 0.0000 0.0000
Na2 Na 0.0021 0.3980 0.5984
Na3 Na 0.0167 0.8053 0.1953
Na4 Na 0.2181 0.5485 0.9331
Na5 Na 0.2442 0.9456 0.5376
Na6 Na 0.2659 0.3564 0.1580
Na7 Na 0.2847 0.1556 0.3604
Na8 Na 0.4904 0.8972 0.0891
Na9 Na 0.5000 0.5000 0.5000
Mo1 Mo 0.2130 0.7847 0.7535
Mo2 Mo 0.4795 0.2982 0.7380
O1 O 0.0632 0.3560 0.3488
O2 O 0.1133 0.9576 0.7734
O3 O 0.1354 0.7720 0.9310
O4 O 0.1945 0.6028 0.1885
O5 O 0.1974 0.1883 0.5972
O6 O 0.3320 0.7292 0.5759
O7 O 0.3753 0.3205 0.9084
O8 O 0.3993 0.8834 0.3176
O9 O 0.4055 0.4644 0.7111
O10 O 0.4602 0.1514 0.1488
```

Most intense lines, 10 to 90 degrees two-theta, sorted by position:
2θ 18.98, d 4.676, I = 42
2θ 19.35, d 4.588, I = 100
2θ 20.97, d 4.237, I = 34
2θ 22.66, d 3.925, I = 35
2θ 32.80, d 2.731, I = 96
2θ 37.50, d 2.399, I = 71
2θ 37.65, d 2.389, I = 70
2θ 38.99, d 2.310, I = 71

---

Structure and theoretical X-ray powder pattern of MgMn4O7F (a DFT-relaxed cell (PBE+U, the Materials Project); Cu Ka).
Peak positions follow from Bragg's law for the DFT cell and can differ from measured ones.

```
data_MgMn4O7F
_chemical_formula_sum 'Mg1 Mn4 O7 F1'
_symmetry_space_group_name_H-M 'P 1'
_symmetry_Int_Tables_number 1
_symmetry_space_group_name_Hall 'P 1'
_cell_length_a 4.9783
_cell_length_b 5.0944
_cell_length_c 5.9734
_cell_angle_alpha 79.89
_cell_angle_beta 85.08
_cell_angle_gamma 83.62
loop_
_atom_site_label
_atom_site_type_symbol
_atom_site_fract_x
_atom_site_fract_y
_atom_site_fract_z
Mg1 Mg 0.0000 0.0000 0.0000
Mn1 Mn 0.0404 0.5133 0.9346
Mn2 Mn 0.0591 0.0086 0.4491
Mn3 Mn 0.5211 0.0120 0.7259
Mn4 Mn 0.5214 0.4964 0.2316
O1 O 0.1973 0.7260 0.2212
O2 O 0.2092 0.8128 0.7374
O3 O 0.3230 0.2353 0.9412
O4 O 0.3528 0.2336 0.4669
O5 O 0.7058 0.7539 0.9870
O6 O 0.7488 0.8239 0.5275
O7 O 0.8658 0.2702 0.1983
F1 F 0.8244 0.2422 0.7308
```

Most intense lines, 10 to 90 degrees two-theta, sorted by position:
2θ 21.35, d 4.162, I = 100
2θ 25.29, d 3.522, I = 59
2θ 26.16, d 3.407, I = 71
2θ 29.82, d 2.996, I = 69
2θ 30.77, d 2.906, I = 57
2θ 34.49, d 2.600, I = 72
2θ 49.32, d 1.848, I = 54
2θ 54.83, d 1.674, I = 62

---

Structure and theoretical X-ray powder pattern of Al2FeP2H18O18 (a DFT-relaxed cell (PBE+U, the Materials Project); Cu Ka).
Peak positions follow from Bragg's law for the DFT cell and can differ from measured ones.

```
data_Al2FeP2H18O18
_chemical_formula_sum 'Al2 Fe1 P2 H18 O18'
_symmetry_space_group_name_H-M 'P -1'
_symmetry_Int_Tables_number 2
_symmetry_space_group_name_Hall '-P 1'
_cell_length_a 5.3193
_cell_length_b 6.9969
_cell_length_c 11.7271
_cell_angle_alpha 79.68
_cell_angle_beta 89.18
_cell_angle_gamma 69.93
loop_
_atom_site_label
_atom_site_type_symbol
_atom_site_fract_x
_atom_site_fract_y
_atom_site_fract_z
Al1 Al 0.0000 0.0000 0.0000
Al2 Al 0.0000 0.5000 0.0000
Fe1 Fe 0.0000 0.0000 0.5000
P1 P 0.4331 0.0786 0.1382
H1 H 0.0170 0.5321 0.2075
H2 H 0.0987 0.6581 0.4425
H3 H 0.2260 0.2937 0.8605
H4 H 0.2300 0.4629 0.6066
H5 H 0.3285 0.6722 0.9831
H6 H 0.3347 0.3524 0.3187
H7 H 0.3818 0.5655 0.3084
H8 H 0.4631 0.3286 0.5453
H9 H 0.4669 0.0631 0.6826
O1 O 0.1059 0.7165 0.5122
O2 O 0.1358 0.4483 0.8476
O3 O 0.1378 0.7128 0.9988
O4 O 0.2433 0.5004 0.3200
O5 O 0.2432 0.9619 0.1260
O6 O 0.2783 0.0406 0.8911
O7 O 0.3356 0.3050 0.0748
O8 O 0.3791 0.3265 0.6200
O9 O 0.4511 0.0841 0.2768
```

Most intense lines, 10 to 90 degrees two-theta, sorted by position:
2θ 13.71, d 6.458, I = 37
2θ 15.38, d 5.761, I = 74
2θ 20.52, d 4.328, I = 38
2θ 22.95, d 3.875, I = 100
2θ 24.19, d 3.680, I = 37
2θ 33.73, d 2.657, I = 34
2θ 34.79, d 2.579, I = 40
2θ 35.17, d 2.552, I = 37

---

Structure and theoretical X-ray powder pattern of MgFeO2 (a DFT-relaxed cell (PBE+U, the Materials Project); Cu Ka).
Peak positions follow from Bragg's law for the DFT cell and can differ from measured ones.

```
data_MgFeO2
_chemical_formula_sum 'Mg4 Fe4 O8'
_symmetry_space_group_name_H-M 'P -1'
_symmetry_Int_Tables_number 2
_symmetry_space_group_name_Hall '-P 1'
_cell_length_a 2.9760
_cell_length_b 8.4293
_cell_length_c 8.5198
_cell_angle_alpha 91.08
_cell_angle_beta 99.85
_cell_angle_gamma 100.16
loop_
_atom_site_label
_atom_site_type_symbol
_atom_site_fract_x
_atom_site_fract_y
_atom_site_fract_z
Mg1 Mg 0.0034 0.4267 0.2169
Mg2 Mg 0.0136 0.2168 0.8789
Fe1 Fe 0.4809 0.8879 0.7981
Fe2 Fe 0.4848 0.3059 0.5538
O1 O 0.1502 0.7341 0.5991
O2 O 0.1993 0.3940 0.7237
O3 O 0.2447 0.2919 0.1034
O4 O 0.2664 0.0662 0.8328
```

Most intense lines, 10 to 90 degrees two-theta, sorted by position:
2θ 14.65, d 6.048, I = 100
2θ 23.46, d 3.791, I = 64
2θ 29.54, d 3.024, I = 68
2θ 32.03, d 2.794, I = 67
2θ 34.68, d 2.586, I = 79
2θ 34.76, d 2.581, I = 84
2θ 40.93, d 2.205, I = 57
2θ 44.31, d 2.044, I = 66